Entry 1:
Computed PXRD pattern
Compound: Be3GaCo4
Radiation: Cu Kα X-rays
Structure: a structure optimized by DFT (GGA-PBE)
Kinematic intensities with the Lorentz-polarization factor, no thermal factor.

Cell and atoms:
abc: 3.7694 3.7694 5.4044
angles: 90.00 90.00 90.00
Atoms (fractional coordinates):
1 Be 0.0000 0.0000 0.0000
2 Be 0.0000 0.0000 0.5000
3 Be 0.5000 0.5000 0.0000
4 Ga 0.5000 0.5000 0.5000
5 Co 0.0000 0.5000 0.2329
6 Co 0.0000 0.5000 0.7671
7 Co 0.5000 0.0000 0.2329
8 Co 0.5000 0.0000 0.7671

Top 6 peaks for 15° ≤ 2θ ≤ 90°, by angle:
| 2theta | I_rel |
| --- | --- |
| 28.9 | 17 |
| 33.6 | 31 |
| 37.6 | 16 |
| 47.9 | 100 |
| 48.3 | 51 |
| 90.0 | 30 |

***

Entry 2:
Computed PXRD pattern
Compound: SbAs
Radiation: Cu Kα X-rays
Structure: a structure optimized by DFT (GGA-PBE)
Kinematic intensities with the Lorentz-polarization factor, no thermal factor.

Cell and atoms:
abc: 11.9623 4.0604 4.5709
angles: 90.00 91.77 90.00
Atoms (fractional coordinates):
1 Sb 0.1208 0.0000 0.0797
2 Sb 0.3792 0.5000 0.9203
3 Sb 0.6208 0.5000 0.0797
4 Sb 0.8792 0.0000 0.9203
5 As 0.1031 0.5000 0.4759
6 As 0.3969 0.0000 0.5241
7 As 0.6031 0.0000 0.4759
8 As 0.8969 0.5000 0.5241

Top 6 peaks for 15° ≤ 2θ ≤ 90°, by angle:
| 2theta | I_rel |
| --- | --- |
| 29.9 | 61 |
| 30.2 | 100 |
| 30.5 | 37 |
| 37.6 | 32 |
| 44.6 | 23 |
| 47.9 | 35 |

***

Entry 3:
Computed PXRD pattern
Compound: Ho6Ga3Pt
Radiation: Cu Kα X-rays
Structure: a structure optimized by DFT (GGA-PBE)
Kinematic intensities with the Lorentz-polarization factor, no thermal factor.

Cell and atoms:
abc: 8.6239 11.5476 4.9808
angles: 90.00 90.00 90.00
Atoms (fractional coordinates):
1 Ho 0.0046 0.2470 0.0000
2 Ho 0.1629 0.0874 0.5000
3 Ho 0.1747 0.4137 0.5000
4 Ho 0.3253 0.9137 0.0000
5 Ho 0.3371 0.5874 0.0000
6 Ho 0.4954 0.7470 0.5000
7 Ho 0.5046 0.2530 0.5000
8 Ho 0.6629 0.4126 0.0000
9 Ho 0.6747 0.0863 0.0000
10 Ho 0.8253 0.5863 0.5000
11 Ho 0.8371 0.9126 0.5000
12 Ho 0.9954 0.7530 0.0000
13 Ga 0.0000 0.5000 0.0000
14 Ga 0.1614 0.7330 0.5000
15 Ga 0.3386 0.2330 0.0000
16 Ga 0.5000 0.0000 0.5000
17 Ga 0.6614 0.7670 0.0000
18 Ga 0.8386 0.2670 0.5000
19 Pt 0.0000 0.0000 0.0000
20 Pt 0.5000 0.5000 0.5000

Top 6 peaks for 15° ≤ 2θ ≤ 90°, by angle:
| 2theta | I_rel |
| --- | --- |
| 31.1 | 71 |
| 36.1 | 100 |
| 37.5 | 47 |
| 48.4 | 21 |
| 61.8 | 20 |
| 64.9 | 20 |

***

Entry 4:
Computed PXRD pattern
Compound: Sn3Te8Pb4
Radiation: Cu Kα X-rays
Structure: a structure optimized by DFT (GGA-PBE)
Kinematic intensities with the Lorentz-polarization factor, no thermal factor.

Cell and atoms:
abc: 9.0104 9.0104 8.9579
angles: 119.63 119.63 90.30
Atoms (fractional coordinates):
1 Sn 0.0000 0.0000 0.0000
2 Sn 0.0000 0.5000 0.5000
3 Sn 0.5000 0.0000 0.5000
4 Te 0.2464 0.7536 0.0000
5 Te 0.2499 0.2499 0.0100
6 Te 0.2519 0.2519 0.4910
7 Te 0.2552 0.7448 0.5000
8 Te 0.7448 0.2552 0.5000
9 Te 0.7481 0.7481 0.5090
10 Te 0.7501 0.7501 0.9900
11 Te 0.7536 0.2464 0.0000
12 Pb 0.0000 0.0000 0.5000
13 Pb 0.0000 0.5000 0.0000
14 Pb 0.5000 0.0000 0.0000
15 Pb 0.5000 0.5000 0.0000

Top 6 peaks for 15° ≤ 2θ ≤ 90°, by angle:
| 2theta | I_rel |
| --- | --- |
| 27.9 | 100 |
| 28.1 | 49 |
| 39.9 | 39 |
| 40.0 | 38 |
| 49.3 | 21 |
| 65.3 | 23 |

***

Entry 5:
Computed PXRD pattern
Compound: PbAu4
Radiation: Cu Kα X-rays
Structure: a structure optimized by DFT (GGA-PBE)
Kinematic intensities with the Lorentz-polarization factor, no thermal factor.

Cell and atoms:
abc: 3.9836 3.9836 13.8287
angles: 90.00 90.00 90.00
Atoms (fractional coordinates):
1 Pb 0.0000 0.0000 0.0000
2 Pb 0.5000 0.5000 0.5000
3 Au 0.0000 0.0000 0.3997
4 Au 0.0000 0.0000 0.6003
5 Au 0.0000 0.5000 0.2500
6 Au 0.0000 0.5000 0.7500
7 Au 0.5000 0.0000 0.2500
8 Au 0.5000 0.0000 0.7500
9 Au 0.5000 0.5000 0.1003
10 Au 0.5000 0.5000 0.8997

Top 6 peaks for 15° ≤ 2θ ≤ 90°, by angle:
| 2theta | I_rel |
| --- | --- |
| 29.6 | 30 |
| 34.4 | 100 |
| 39.7 | 47 |
| 41.3 | 31 |
| 45.5 | 44 |
| 62.0 | 26 |

***

Entry 6:
Computed PXRD pattern
Compound: Pu2Zn3NiAu12
Radiation: Cu Kα X-rays
Structure: a structure optimized by DFT (GGA-PBE)
Kinematic intensities with the Lorentz-polarization factor, no thermal factor.

Cell and atoms:
abc: 13.3758 13.3758 13.3758
angles: 24.64 24.64 24.64
Atoms (fractional coordinates):
1 Pu 0.1487 0.1487 0.1487
2 Pu 0.8513 0.8513 0.8513
3 Zn 0.0000 0.5000 0.5000
4 Zn 0.5000 0.0000 0.5000
5 Zn 0.5000 0.5000 0.0000
6 Ni 0.5000 0.5000 0.5000
7 Au 0.1100 0.1100 0.6227
8 Au 0.1100 0.6227 0.1100
9 Au 0.1148 0.6135 0.6135
10 Au 0.3773 0.8900 0.8900
11 Au 0.3865 0.3865 0.8852
12 Au 0.3865 0.8852 0.3865
13 Au 0.6135 0.1148 0.6135
14 Au 0.6135 0.6135 0.1148
15 Au 0.6227 0.1100 0.1100
16 Au 0.8852 0.3865 0.3865
17 Au 0.8900 0.3773 0.8900
18 Au 0.8900 0.8900 0.3773

Top 6 peaks for 15° ≤ 2θ ≤ 90°, by angle:
| 2theta | I_rel |
| --- | --- |
| 29.2 | 34 |
| 37.5 | 100 |
| 41.0 | 84 |
| 41.8 | 23 |
| 65.4 | 34 |
| 74.1 | 22 |